No. 1
Starting from a GGA+U-relaxed structure, the PXRD pattern of Li3V4O3F9 was simulated for copper Kα.

Crystal structure
```
data_Li3V4O3F9
_chemical_formula_sum 'Li6 V8 O6 F18'
_symmetry_space_group_name_H-M 'P 1'
_symmetry_Int_Tables_number 1
_cell_length_a 5.190
_cell_length_b 5.542
_cell_length_c 17.284
_cell_angle_alpha 88.98
_cell_angle_beta 82.54
_cell_angle_gamma 62.51
loop_
_symmetry_equiv_pos_as_xyz
'x,y,z'
loop_
_atom_site_label
_atom_site_type_symbol
_atom_site_fract_x
_atom_site_fract_y
_atom_site_fract_z
Li1 Li 0.000 0.000 0.000
Li2 Li 0.051 0.406 0.491
Li3 Li 0.168 0.497 0.142
Li4 Li 0.299 0.773 0.624
Li5 Li 0.692 0.223 0.393
Li6 Li 0.797 0.499 0.869
V1 V 0.112 0.946 0.813
V2 V 0.122 0.430 0.309
V3 V 0.343 0.307 0.938
V4 V 0.400 0.810 0.446
V5 V 0.578 0.716 0.071
V6 V 0.613 0.208 0.560
V7 V 0.868 0.599 0.694
V8 V 0.898 0.076 0.191
O1 O 0.052 0.791 0.725
O2 O 0.066 0.286 0.221
O3 O 0.153 0.120 0.908
O4 O 0.173 0.906 0.094
O5 O 0.536 0.053 0.474
O6 O 0.639 0.489 0.499
F1 F 0.035 0.478 0.038
F2 F 0.068 0.974 0.542
F3 F 0.083 0.645 0.885
F4 F 0.091 0.273 0.754
F5 F 0.107 0.133 0.383
F6 F 0.138 0.737 0.248
F7 F 0.164 0.455 0.593
F8 F 0.196 0.586 0.409
F9 F 0.536 0.543 0.970
F10 F 0.555 0.726 0.793
F11 F 0.573 0.217 0.288
F12 F 0.591 0.904 0.633
F13 F 0.602 0.384 0.125
F14 F 0.619 0.012 0.003
F15 F 0.657 0.398 0.656
F16 F 0.676 0.193 0.848
F17 F 0.696 0.647 0.348
F18 F 0.709 0.841 0.159
```

Peak list (6 most intense, 5° ≤ 2θ ≤ 70°, in order of rising 2θ)
2θ/deg, I_rel
23.3, 100.0
23.8, 51.3
32.2, 15.4
39.5, 18.6
47.7, 20.4
52.4, 26.5


No. 2
Starting from a GGA+U-relaxed structure, the PXRD pattern of LiV2OF5 was simulated for copper Kα.

Crystal structure
```
data_LiV2OF5
_chemical_formula_sum 'Li3 V6 O3 F15'
_symmetry_space_group_name_H-M 'P 1'
_symmetry_Int_Tables_number 1
_cell_length_a 5.167
_cell_length_b 5.493
_cell_length_c 11.907
_cell_angle_alpha 98.55
_cell_angle_beta 102.48
_cell_angle_gamma 90.57
loop_
_symmetry_equiv_pos_as_xyz
'x,y,z'
loop_
_atom_site_label
_atom_site_type_symbol
_atom_site_fract_x
_atom_site_fract_y
_atom_site_fract_z
Li1 Li 0.000 0.000 0.000
Li2 Li 0.129 0.036 0.300
Li3 Li 0.803 0.829 0.665
V1 V 0.049 0.492 0.153
V2 V 0.244 0.681 0.486
V3 V 0.377 0.853 0.819
V4 V 0.578 0.018 0.152
V5 V 0.716 0.163 0.486
V6 V 0.910 0.331 0.818
O1 O 0.102 0.051 0.854
O2 O 0.551 0.888 0.521
O3 O 0.893 0.210 0.186
F1 F 0.015 0.959 0.435
F2 F 0.164 0.756 0.650
F3 F 0.222 0.805 0.112
F4 F 0.230 0.561 0.863
F5 F 0.260 0.603 0.312
F6 F 0.331 0.272 0.101
F7 F 0.445 0.394 0.528
F8 F 0.501 0.101 0.315
F9 F 0.575 0.109 0.769
F10 F 0.623 0.922 0.984
F11 F 0.688 0.634 0.775
F12 F 0.776 0.730 0.197
F13 F 0.865 0.421 0.984
F14 F 0.915 0.451 0.448
F15 F 0.930 0.249 0.651
```

Peak list (6 most intense, 5° ≤ 2θ ≤ 70°, in order of rising 2θ)
2θ/deg, I_rel
23.2, 97.3
23.6, 99.7
23.8, 100.0
39.4, 33.4
39.8, 29.5
40.1, 28.7


No. 3
Starting from a GGA+U-relaxed structure, the PXRD pattern of Li2VO2F was simulated for copper Kα.

Crystal structure
```
data_Li2VO2F
_chemical_formula_sum 'Li8 V4 O8 F4'
_symmetry_space_group_name_H-M 'P 1'
_symmetry_Int_Tables_number 1
_cell_length_a 6.024
_cell_length_b 6.024
_cell_length_c 8.985
_cell_angle_alpha 120.05
_cell_angle_beta 120.05
_cell_angle_gamma 59.83
loop_
_symmetry_equiv_pos_as_xyz
'x,y,z'
loop_
_atom_site_label
_atom_site_type_symbol
_atom_site_fract_x
_atom_site_fract_y
_atom_site_fract_z
Li1 Li 0.000 0.000 0.000
Li2 Li 0.008 0.527 0.990
Li3 Li 0.011 0.549 0.710
Li4 Li 0.030 0.030 0.702
Li5 Li 0.506 0.506 0.998
Li6 Li 0.527 0.008 0.990
Li7 Li 0.549 0.011 0.710
Li8 Li 0.549 0.549 0.714
V1 V 0.031 0.031 0.360
V2 V 0.033 0.520 0.363
V3 V 0.520 0.033 0.363
V4 V 0.524 0.524 0.354
O1 O 0.257 0.769 0.501
O2 O 0.269 0.269 0.512
O3 O 0.284 0.284 0.209
O4 O 0.284 0.787 0.208
O5 O 0.765 0.765 0.500
O6 O 0.769 0.257 0.501
O7 O 0.774 0.774 0.855
O8 O 0.787 0.284 0.208
F1 F 0.273 0.273 0.854
F2 F 0.275 0.776 0.857
F3 F 0.773 0.773 0.191
F4 F 0.776 0.275 0.857
```

Peak list (6 most intense, 5° ≤ 2θ ≤ 70°, in order of rising 2θ)
2θ/deg, I_rel
12.1, 100.0
24.3, 30.0
34.4, 24.2
42.4, 23.5
42.6, 55.2
61.6, 12.9


No. 4
Starting from a GGA+U-relaxed structure, the PXRD pattern of Li2VO2F2 was simulated for copper Kα.

Crystal structure
```
data_Li2VO2F2
_chemical_formula_sum 'Li8 V4 O8 F8'
_symmetry_space_group_name_H-M 'P 1'
_symmetry_Int_Tables_number 1
_cell_length_a 5.849
_cell_length_b 5.974
_cell_length_c 10.165
_cell_angle_alpha 73.40
_cell_angle_beta 89.97
_cell_angle_gamma 60.71
loop_
_symmetry_equiv_pos_as_xyz
'x,y,z'
loop_
_atom_site_label
_atom_site_type_symbol
_atom_site_fract_x
_atom_site_fract_y
_atom_site_fract_z
Li1 Li 0.000 0.000 0.000
Li2 Li 0.020 0.000 0.500
Li3 Li 0.261 0.998 0.260
Li4 Li 0.464 0.593 0.821
Li5 Li 0.501 0.999 0.501
Li6 Li 0.521 0.000 0.000
Li7 Li 0.761 0.998 0.759
Li8 Li 0.964 0.593 0.321
V1 V 0.018 0.484 0.007
V2 V 0.074 0.372 0.691
V3 V 0.518 0.484 0.507
V4 V 0.574 0.374 0.191
O1 O 0.132 0.257 0.875
O2 O 0.380 0.258 0.126
O3 O 0.384 0.257 0.625
O4 O 0.403 0.715 0.133
O5 O 0.631 0.259 0.375
O6 O 0.880 0.257 0.626
O7 O 0.883 0.258 0.125
O8 O 0.904 0.713 0.634
F1 F 0.124 0.735 0.886
F2 F 0.155 0.211 0.384
F3 F 0.160 0.737 0.386
F4 F 0.390 0.740 0.619
F5 F 0.623 0.736 0.386
F6 F 0.655 0.211 0.883
F7 F 0.662 0.736 0.886
F8 F 0.890 0.741 0.119
```

Peak list (6 most intense, 5° ≤ 2θ ≤ 70°, in order of rising 2θ)
2θ/deg, I_rel
18.0, 75.1
21.2, 100.0
30.5, 80.3
35.2, 48.8
35.7, 84.9
62.2, 49.0


No. 5
Starting from a GGA+U-relaxed structure, the PXRD pattern of Li4V4O3F9 was simulated for copper Kα.

Crystal structure
```
data_Li4V4O3F9
_chemical_formula_sum 'Li4 V4 O3 F9'
_symmetry_space_group_name_H-M 'P 1'
_symmetry_Int_Tables_number 1
_cell_length_a 5.149
_cell_length_b 5.579
_cell_length_c 9.095
_cell_angle_alpha 106.38
_cell_angle_beta 90.43
_cell_angle_gamma 117.15
loop_
_symmetry_equiv_pos_as_xyz
'x,y,z'
loop_
_atom_site_label
_atom_site_type_symbol
_atom_site_fract_x
_atom_site_fract_y
_atom_site_fract_z
Li1 Li 0.000 0.000 0.000
Li2 Li 0.011 0.490 0.507
Li3 Li 0.529 0.207 0.231
Li4 Li 0.553 0.776 0.746
V1 V 0.216 0.518 0.100
V2 V 0.290 0.032 0.596
V3 V 0.722 0.784 0.359
V4 V 0.743 0.277 0.853
O1 O 0.472 0.949 0.408
O2 O 0.625 0.193 0.667
O3 O 0.844 0.295 0.035
F1 F 0.122 0.125 0.224
F2 F 0.150 0.636 0.714
F3 F 0.331 0.903 0.970
F4 F 0.353 0.397 0.471
F5 F 0.494 0.476 0.898
F6 F 0.628 0.704 0.161
F7 F 0.860 0.813 0.551
F8 F 0.949 0.563 0.307
F9 F 0.967 0.043 0.791
```

Peak list (6 most intense, 5° ≤ 2θ ≤ 70°, in order of rising 2θ)
2θ/deg, I_rel
18.4, 100.0
23.6, 56.0
30.9, 29.5
32.1, 25.7
37.2, 25.9
50.2, 26.4


No. 6
Starting from a GGA+U-relaxed structure, the PXRD pattern of Li3V2O4F2 was simulated for copper Kα.

Crystal structure
```
data_Li3V2O4F2
_chemical_formula_sum 'Li6 V4 O8 F4'
_symmetry_space_group_name_H-M 'P 1'
_symmetry_Int_Tables_number 1
_cell_length_a 5.223
_cell_length_b 5.885
_cell_length_c 7.322
_cell_angle_alpha 90.69
_cell_angle_beta 91.49
_cell_angle_gamma 90.74
loop_
_symmetry_equiv_pos_as_xyz
'x,y,z'
loop_
_atom_site_label
_atom_site_type_symbol
_atom_site_fract_x
_atom_site_fract_y
_atom_site_fract_z
Li1 Li 0.141 0.252 0.131
Li2 Li 0.316 0.501 0.870
Li3 Li 0.319 0.994 0.870
Li4 Li 0.681 0.006 0.130
Li5 Li 0.684 0.499 0.130
Li6 Li 0.859 0.748 0.869
V1 V 0.000 0.000 0.500
V2 V 0.000 0.500 0.500
V3 V 0.492 0.750 0.491
V4 V 0.508 0.250 0.509
O1 O 0.173 0.753 0.648
O2 O 0.184 0.253 0.642
O3 O 0.346 0.503 0.359
O4 O 0.347 0.014 0.359
O5 O 0.653 0.986 0.641
O6 O 0.654 0.497 0.641
O7 O 0.816 0.747 0.358
O8 O 0.827 0.247 0.352
F1 F 0.000 0.000 0.000
F2 F 0.000 0.500 0.000
F3 F 0.471 0.251 0.015
F4 F 0.529 0.749 0.985
```

Peak list (6 most intense, 5° ≤ 2θ ≤ 70°, in order of rising 2θ)
2θ/deg, I_rel
12.1, 100.0
24.3, 33.4
34.8, 8.2
42.0, 20.6
42.9, 22.4
43.8, 18.3


No. 7
Starting from a GGA+U-relaxed structure, the PXRD pattern of LiW3O9F was simulated for copper Kα.

Crystal structure
```
data_LiW3O9F
_chemical_formula_sum 'Li2 W6 O18 F2'
_symmetry_space_group_name_H-M 'P 1'
_symmetry_Int_Tables_number 1
_cell_length_a 7.492
_cell_length_b 7.492
_cell_length_c 8.535
_cell_angle_alpha 102.59
_cell_angle_beta 102.59
_cell_angle_gamma 120.01
loop_
_symmetry_equiv_pos_as_xyz
'x,y,z'
loop_
_atom_site_label
_atom_site_type_symbol
_atom_site_fract_x
_atom_site_fract_y
_atom_site_fract_z
Li1 Li 0.125 0.875 0.500
Li2 Li 0.875 0.125 0.000
W1 W 0.189 0.440 0.472
W2 W 0.440 0.189 0.972
W3 W 0.446 0.697 0.987
W4 W 0.697 0.446 0.487
W5 W 0.702 0.951 0.495
W6 W 0.951 0.702 0.995
O1 O 0.000 0.542 0.502
O2 O 0.071 0.320 0.243
O3 O 0.175 0.998 0.010
O4 O 0.176 0.640 0.011
O5 O 0.320 0.071 0.743
O6 O 0.334 0.586 0.752
O7 O 0.385 0.422 0.001
O8 O 0.422 0.385 0.501
O9 O 0.422 0.744 0.502
O10 O 0.542 0.000 0.002
O11 O 0.586 0.334 0.252
O12 O 0.589 0.838 0.256
O13 O 0.640 0.176 0.511
O14 O 0.744 0.422 0.002
O15 O 0.754 0.795 0.009
O16 O 0.795 0.754 0.509
O17 O 0.838 0.589 0.756
O18 O 0.998 0.175 0.510
F1 F 0.080 0.828 0.258
F2 F 0.828 0.080 0.758
```

Peak list (6 most intense, 5° ≤ 2θ ≤ 70°, in order of rising 2θ)
2θ/deg, I_rel
14.8, 26.0
17.9, 19.7
23.2, 50.6
27.5, 100.0
36.2, 55.9
48.6, 25.2


No. 8
Starting from a GGA+U-relaxed structure, the PXRD pattern of Li2WO2F4 was simulated for copper Kα.

Crystal structure
```
data_Li2WO2F4
_chemical_formula_sum 'Li8 W4 O8 F16'
_symmetry_space_group_name_H-M 'P 1'
_symmetry_Int_Tables_number 1
_cell_length_a 4.760
_cell_length_b 17.413
_cell_length_c 5.101
_cell_angle_alpha 90.00
_cell_angle_beta 90.00
_cell_angle_gamma 90.00
loop_
_symmetry_equiv_pos_as_xyz
'x,y,z'
loop_
_atom_site_label
_atom_site_type_symbol
_atom_site_fract_x
_atom_site_fract_y
_atom_site_fract_z
Li1 Li 0.000 0.050 0.250
Li2 Li 0.000 0.268 0.750
Li3 Li 0.000 0.732 0.250
Li4 Li 0.000 0.950 0.750
Li5 Li 0.500 0.232 0.250
Li6 Li 0.500 0.450 0.750
Li7 Li 0.500 0.550 0.250
Li8 Li 0.500 0.768 0.750
W1 W 0.000 0.393 0.250
W2 W 0.000 0.607 0.750
W3 W 0.500 0.107 0.750
W4 W 0.500 0.893 0.250
O1 O 0.247 0.456 0.103
O2 O 0.247 0.544 0.603
O3 O 0.253 0.044 0.603
O4 O 0.253 0.956 0.103
O5 O 0.747 0.044 0.897
O6 O 0.747 0.956 0.397
O7 O 0.753 0.456 0.397
O8 O 0.753 0.544 0.897
F1 F 0.212 0.299 0.093
F2 F 0.212 0.701 0.593
F3 F 0.226 0.373 0.564
F4 F 0.226 0.627 0.064
F5 F 0.274 0.127 0.064
F6 F 0.274 0.873 0.564
F7 F 0.288 0.201 0.593
F8 F 0.288 0.799 0.093
F9 F 0.712 0.201 0.907
F10 F 0.712 0.799 0.407
F11 F 0.726 0.127 0.436
F12 F 0.726 0.873 0.936
F13 F 0.774 0.373 0.936
F14 F 0.774 0.627 0.436
F15 F 0.788 0.299 0.407
F16 F 0.788 0.701 0.907
```

Peak list (6 most intense, 5° ≤ 2θ ≤ 70°, in order of rising 2θ)
2θ/deg, I_rel
19.3, 70.9
20.2, 100.0
20.4, 42.4
26.1, 42.2
29.9, 65.1
43.2, 29.4


No. 9
Starting from a GGA+U-relaxed structure, the PXRD pattern of Rb2LiVF6 was simulated for copper Kα.

Crystal structure
```
data_Rb2LiVF6
_chemical_formula_sum 'Rb2 Li1 V1 F6'
_symmetry_space_group_name_H-M 'P 1'
_symmetry_Int_Tables_number 1
_cell_length_a 5.900
_cell_length_b 5.900
_cell_length_c 5.900
_cell_angle_alpha 60.00
_cell_angle_beta 60.00
_cell_angle_gamma 60.00
loop_
_symmetry_equiv_pos_as_xyz
'x,y,z'
loop_
_atom_site_label
_atom_site_type_symbol
_atom_site_fract_x
_atom_site_fract_y
_atom_site_fract_z
Rb1 Rb 0.250 0.250 0.250
Rb2 Rb 0.750 0.750 0.750
Li1 Li 0.000 0.000 0.000
V1 V 0.500 0.500 0.500
F1 F 0.263 0.263 0.737
F2 F 0.263 0.737 0.263
F3 F 0.263 0.737 0.737
F4 F 0.737 0.263 0.263
F5 F 0.737 0.263 0.737
F6 F 0.737 0.737 0.263
```

Peak list (6 most intense, 5° ≤ 2θ ≤ 70°, in order of rising 2θ)
2θ/deg, I_rel
18.4, 20.6
30.3, 100.0
37.3, 57.2
43.4, 58.3
53.8, 38.6
63.0, 33.6